[1]
Simulated powder diffractogram of KUPO7F for Cu Kα, from a cell relaxed with GGA-PBE.
Kinematic intensities with the Lorentz-polarization factor, no thermal factor.

Crystal structure
Unit cell a=6.8966 b=8.6952 c=13.8846 alpha=90.00 beta=116.34 gamma=90.00
Fractional coordinates of all 44 atoms:
K 0.1834 0.1968 0.0492
K 0.1834 0.3032 0.5492
K 0.8166 0.6968 0.4508
K 0.8166 0.8032 0.9508
U 0.0991 0.5304 0.2460
U 0.0991 0.9696 0.7460
U 0.9009 0.0304 0.2540
U 0.9009 0.4696 0.7540
P 0.3857 0.6266 0.7357
P 0.3857 0.8734 0.2357
P 0.6143 0.1266 0.7643
P 0.6143 0.3734 0.2643
O 0.0354 0.0800 0.3957
O 0.0354 0.4200 0.8957
O 0.2209 0.0219 0.8873
O 0.2209 0.4781 0.3873
O 0.2553 0.5013 0.7622
O 0.2553 0.9987 0.2622
O 0.2690 0.6207 0.6105
O 0.2690 0.8793 0.1105
O 0.3659 0.7161 0.2813
O 0.3659 0.7839 0.7813
O 0.3733 0.0852 0.7165
O 0.3733 0.4148 0.2165
O 0.4522 0.6786 0.0366
O 0.4522 0.8214 0.5366
O 0.5478 0.1786 0.4634
O 0.5478 0.3214 0.9634
O 0.6267 0.5852 0.7835
O 0.6267 0.9148 0.2835
O 0.6341 0.2161 0.2187
O 0.6341 0.2839 0.7187
O 0.7310 0.1207 0.8895
O 0.7310 0.3793 0.3895
O 0.7447 0.0013 0.7378
O 0.7447 0.4987 0.2378
O 0.7791 0.5219 0.6127
O 0.7791 0.9781 0.1127
O 0.9646 0.5800 0.1043
O 0.9646 0.9200 0.6043
F 0.0111 0.2312 0.7087
F 0.0111 0.2688 0.2087
F 0.9889 0.7312 0.7913
F 0.9889 0.7688 0.2913

The 6 most intense peaks (2θ = 10–90°), in order of falling intensity:
2theta	I/Imax
14.26	100
25.00	44
28.41	27
29.19	21
25.48	17
16.42	17

=====

[2]
Simulated powder diffractogram of K5Pr4Si4O16F for Cu Kα, from a cell relaxed with GGA-PBE.
Kinematic intensities with the Lorentz-polarization factor, no thermal factor.

Crystal structure
Unit cell a=9.2741 b=9.2741 c=9.2741 alpha=95.18 beta=95.18 gamma=145.02
Fractional coordinates of all 30 atoms:
K 0.0000 0.0000 0.0000
K 0.1027 0.5933 0.6950
K 0.4067 0.1018 0.5094
K 0.5924 0.8973 0.4906
K 0.8982 0.4076 0.3050
Pr 0.2984 0.3651 0.6977
Pr 0.3994 0.7016 0.0667
Pr 0.6349 0.3326 0.9333
Pr 0.6674 0.6006 0.3023
Si 0.1141 0.2550 0.3496
Si 0.2356 0.8859 0.1409
Si 0.7450 0.0946 0.8591
Si 0.9054 0.7644 0.6504
O 0.0424 0.2909 0.8536
O 0.1129 0.3729 0.4932
O 0.1435 0.7170 0.9733
O 0.2118 0.0420 0.7593
O 0.2830 0.2563 0.4265
O 0.2827 0.4525 0.2407
O 0.3803 0.8871 0.2600
O 0.4373 0.1889 0.1464
O 0.5475 0.7882 0.8302
O 0.6271 0.1203 0.7400
O 0.7091 0.5627 0.7516
O 0.7437 0.1701 0.0267
O 0.8111 0.9576 0.2484
O 0.8299 0.8565 0.5735
O 0.8797 0.6197 0.5068
O 0.9580 0.7173 0.1698
F 0.5000 0.5000 0.0000

The 6 most intense peaks (2θ = 10–90°), in order of falling intensity:
2theta	I/Imax
30.34	100
22.50	58
17.42	55
26.70	53
45.95	48
32.12	45

=====

[3]
Simulated powder diffractogram of KRb2ZrOF5 for Cu Kα, from a cell relaxed with GGA-PBE.
Kinematic intensities with the Lorentz-polarization factor, no thermal factor.

Crystal structure
Unit cell a=6.6022 b=6.6022 c=6.6022 alpha=120.32 beta=120.32 gamma=89.44
Fractional coordinates of all 10 atoms:
K 0.0000 0.0000 0.0000
Rb 0.2551 0.7551 0.5000
Rb 0.7551 0.2551 0.5000
Zr 0.5202 0.5202 0.0000
O 0.7213 0.7213 0.0000
F 0.2721 0.2721 0.5517
F 0.2721 0.7204 0.0000
F 0.2809 0.2809 0.0000
F 0.7204 0.2721 0.0000
F 0.7204 0.7204 0.4483

The 6 most intense peaks (2θ = 10–90°), in order of falling intensity:
2theta	I/Imax
27.01	100
27.15	48
38.77	42
47.89	38
55.69	25
16.47	23

=====

[4]
Simulated powder diffractogram of KRe2O4F7 for Cu Kα, from a cell relaxed with GGA-PBE.
Kinematic intensities with the Lorentz-polarization factor, no thermal factor.

Crystal structure
Unit cell a=5.6898 b=5.3146 c=15.8194 alpha=90.00 beta=105.78 gamma=90.00
Fractional coordinates of all 28 atoms:
K 0.0000 0.1931 0.2500
K 0.0000 0.8069 0.7500
Re 0.3748 0.2529 0.6133
Re 0.3748 0.7471 0.1133
Re 0.6252 0.2529 0.8867
Re 0.6252 0.7471 0.3867
O 0.2535 0.3657 0.5097
O 0.2535 0.6343 0.0097
O 0.3708 0.0915 0.8962
O 0.3708 0.9085 0.3962
O 0.6292 0.0915 0.6038
O 0.6292 0.9085 0.1038
O 0.7465 0.3657 0.9903
O 0.7465 0.6343 0.4903
F 0.1298 0.3872 0.6675
F 0.1298 0.6128 0.1675
F 0.1789 0.0397 0.1040
F 0.1789 0.9603 0.6040
F 0.4511 0.4540 0.3386
F 0.4511 0.5460 0.8386
F 0.5000 0.1219 0.7500
F 0.5000 0.8781 0.2500
F 0.5489 0.4540 0.1614
F 0.5489 0.5460 0.6614
F 0.8211 0.0397 0.3960
F 0.8211 0.9603 0.8960
F 0.8702 0.3872 0.8325
F 0.8702 0.6128 0.3325

The 6 most intense peaks (2θ = 10–90°), in order of falling intensity:
2theta	I/Imax
22.94	100
24.25	58
17.68	56
16.19	41
23.37	36
22.43	35

=====

[5]
Simulated powder diffractogram of KRe4O8F13 for Cu Kα, from a cell relaxed with GGA-PBE.
Kinematic intensities with the Lorentz-polarization factor, no thermal factor.

Crystal structure
Unit cell a=14.3644 b=14.3644 c=5.5096 alpha=99.29 beta=99.29 gamma=21.78
Fractional coordinates of all 26 atoms:
K 0.0000 0.0000 0.0000
Re 0.1736 0.2280 0.1165
Re 0.4836 0.3638 0.4158
Re 0.6362 0.5164 0.5842
Re 0.7720 0.8264 0.8835
O 0.0085 0.6757 0.8069
O 0.3243 0.9915 0.1931
O 0.3268 0.4055 0.3246
O 0.5147 0.1270 0.8101
O 0.5945 0.6732 0.6754
O 0.6506 0.1871 0.6730
O 0.8129 0.3494 0.3270
O 0.8730 0.4853 0.1899
F 0.0433 0.4778 0.9971
F 0.1422 0.2166 0.7761
F 0.2218 0.6741 0.5902
F 0.2606 0.2343 0.3957
F 0.3259 0.7782 0.4098
F 0.3655 0.5379 0.1460
F 0.4621 0.6345 0.8540
F 0.5222 0.9567 0.0029
F 0.6757 0.3243 0.5000
F 0.7650 0.0780 0.2112
F 0.7657 0.7394 0.6043
F 0.7834 0.8578 0.2239
F 0.9220 0.2350 0.7888

The 6 most intense peaks (2θ = 10–90°), in order of falling intensity:
2theta	I/Imax
23.03	100
22.89	64
22.35	33
18.95	31
16.51	30
25.61	19

=====

[6]
Simulated powder diffractogram of K3SO4F for Cu Kα, from a cell relaxed with GGA-PBE.
Kinematic intensities with the Lorentz-polarization factor, no thermal factor.

Crystal structure
Unit cell a=7.6099 b=7.6099 c=7.6099 alpha=121.90 beta=121.90 gamma=86.73
Fractional coordinates of all 18 atoms:
K 0.1930 0.6930 0.8859
K 0.2500 0.2500 0.0000
K 0.3070 0.1930 0.5000
K 0.6930 0.8070 0.5000
K 0.7500 0.7500 0.0000
K 0.8070 0.3070 0.1141
S 0.2500 0.7500 0.5000
S 0.7500 0.2500 0.5000
O 0.0549 0.7874 0.5000
O 0.2126 0.7126 0.2675
O 0.2874 0.5549 0.5000
O 0.4451 0.9451 0.7325
O 0.5549 0.0549 0.2675
O 0.7126 0.4451 0.5000
O 0.7874 0.2874 0.7325
O 0.9451 0.2126 0.5000
F 0.0000 0.0000 0.0000
F 0.5000 0.5000 0.0000

The 6 most intense peaks (2θ = 10–90°), in order of falling intensity:
2theta	I/Imax
29.06	100
36.51	63
34.32	43
47.89	29
32.37	28
38.52	20

=====

[7]
Simulated powder diffractogram of K3SO4F for Cu Kα, from a cell relaxed with GGA-PBE.
Kinematic intensities with the Lorentz-polarization factor, no thermal factor.

Crystal structure
Unit cell a=5.4671 b=5.4671 c=5.4671 alpha=90.00 beta=90.00 gamma=90.00
Fractional coordinates of all 9 atoms:
K 0.0000 0.0000 0.5000
K 0.0000 0.5000 0.0000
K 0.5000 0.0000 0.0000
S 0.5000 0.5000 0.5000
O 0.3421 0.3421 0.6579
O 0.3421 0.6579 0.3421
O 0.6579 0.3421 0.3421
O 0.6579 0.6579 0.6579
F 0.0000 0.0000 0.0000

The 6 most intense peaks (2θ = 10–90°), in order of falling intensity:
2theta	I/Imax
28.27	100
32.76	47
47.01	46
55.77	22
78.19	18
75.85	16

=====

[8]
Simulated powder diffractogram of K2Sb2SO4F6 for Cu Kα, from a cell relaxed with GGA-PBE.
Kinematic intensities with the Lorentz-polarization factor, no thermal factor.

Crystal structure
Unit cell a=9.4135 b=5.7212 c=19.7986 alpha=90.00 beta=103.74 gamma=90.00
Fractional coordinates of all 60 atoms:
K 0.0189 0.2501 0.4246
K 0.0189 0.2499 0.9246
K 0.3613 0.2460 0.1733
K 0.3613 0.2540 0.6733
K 0.6387 0.7460 0.3267
K 0.6387 0.7540 0.8267
K 0.9811 0.7501 0.0754
K 0.9811 0.7499 0.5754
Sb 0.1771 0.7404 0.7783
Sb 0.1771 0.7596 0.2783
Sb 0.3139 0.7229 0.5013
Sb 0.3139 0.7771 0.0013
Sb 0.6861 0.2229 0.9987
Sb 0.6861 0.2771 0.4987
Sb 0.8229 0.2404 0.7217
Sb 0.8229 0.2596 0.2217
S 0.3697 0.2382 0.3790
S 0.3697 0.2618 0.8790
S 0.6303 0.7382 0.1210
S 0.6303 0.7618 0.6210
O 0.2401 0.1042 0.8579
O 0.2401 0.3958 0.3579
O 0.3626 0.1177 0.4449
O 0.3626 0.3823 0.9449
O 0.3732 0.0655 0.3228
O 0.3732 0.4345 0.8228
O 0.4926 0.6174 0.6073
O 0.4926 0.8826 0.1073
O 0.5074 0.1174 0.8927
O 0.5074 0.3826 0.3927
O 0.6268 0.5655 0.1772
O 0.6268 0.9345 0.6772
O 0.6374 0.6177 0.0551
O 0.6374 0.8823 0.5551
O 0.7599 0.6042 0.6421
O 0.7599 0.8958 0.1421
F 0.0667 0.5262 0.2089
F 0.0667 0.9738 0.7089
F 0.1089 0.7110 0.9443
F 0.1089 0.7890 0.4443
F 0.1390 0.5272 0.6960
F 0.1390 0.9728 0.1960
F 0.2072 0.0219 0.0422
F 0.2072 0.4781 0.5422
F 0.2610 0.5514 0.0661
F 0.2610 0.9486 0.5661
F 0.3528 0.6505 0.2491
F 0.3528 0.8495 0.7491
F 0.6472 0.1505 0.2509
F 0.6472 0.3495 0.7509
F 0.7390 0.0514 0.4339
F 0.7390 0.4486 0.9339
F 0.7928 0.5219 0.4578
F 0.7928 0.9781 0.9578
F 0.8610 0.0272 0.8040
F 0.8610 0.4728 0.3040
F 0.8911 0.2110 0.5557
F 0.8911 0.2890 0.0557
F 0.9333 0.0262 0.2911
F 0.9333 0.4738 0.7911

The 6 most intense peaks (2θ = 10–90°), in order of falling intensity:
2theta	I/Imax
24.93	100
24.37	96
18.29	90
27.72	89
11.66	52
43.89	51